1.
This entry pairs a crystal structure of Li2TePbSe4 with its theoretical powder XRD pattern. Radiation: copper Kα. Structure: DFT lattice parameters and positions (PBE).

Structural model:
```
16
Lattice="-4.087 4.130 5.754 4.087 -4.130 5.754 4.087 4.130 -5.754" Properties=species:S:1:pos:R:3 pbc="T T T"
Li 0.000 0.000 0.000
Li -2.044 2.065 2.877
Li 0.000 4.130 0.000
Li 2.044 2.065 2.877
Te 2.044 2.065 -2.877
Te 2.044 -2.065 2.877
Pb 4.087 0.000 0.000
Pb 0.000 0.000 5.754
Se 4.087 4.093 -3.041
Se 1.860 2.065 -0.037
Se 2.227 -2.065 5.718
Se 4.087 -0.037 3.041
Se 0.000 4.166 2.713
Se 1.860 6.194 0.037
Se 2.227 2.065 5.791
Se 0.000 0.037 8.796
```

Most intense lines, 10 to 90 degrees two-theta, in order of rising 2θ:
d (Å), 2θ/deg, I (rel.)
6.683, 13.25, 70
3.510, 25.37, 33
3.473, 25.65, 18
2.905, 30.78, 100
2.877, 31.08, 48
2.656, 33.75, 37
2.065, 43.85, 19
2.044, 44.31, 88
1.678, 54.72, 19
1.666, 55.12, 18

***

2.
This entry pairs a crystal structure of LiTmPb2Se4 with its theoretical powder XRD pattern. Radiation: copper Kα. Structure: DFT lattice parameters and positions (PBE).

Structural model:
```
8
Lattice="7.195 0.000 0.000 0.000 4.194 0.000 -2.341 0.000 6.977" Properties=species:S:1:pos:R:3 pbc="T T T"
Li 0.000 0.000 0.000
Tm 3.598 2.097 0.000
Pb -1.171 2.097 3.489
Pb 2.427 0.000 3.489
Se 1.241 2.097 1.561
Se 0.041 0.000 5.433
Se 4.813 0.000 1.544
Se 3.613 2.097 5.416
```

Most intense lines, 10 to 90 degrees two-theta, in order of rising 2θ:
d (Å), 2θ/deg, I (rel.)
3.417, 26.08, 18
2.985, 29.94, 100
2.953, 30.26, 48
2.736, 32.73, 16
2.124, 42.56, 18
2.117, 42.71, 36
2.097, 43.14, 19
2.082, 43.47, 37
1.710, 53.60, 20
1.341, 70.16, 15

***

3.
This entry pairs a crystal structure of Li4SmPb4 with its theoretical powder XRD pattern. Radiation: copper Kα. Structure: DFT lattice parameters and positions (PBE).

Structural model:
```
18
Lattice="6.741 0.000 0.000 0.000 6.741 0.000 0.000 0.000 9.611" Properties=species:S:1:pos:R:3 pbc="T T T"
Li 0.201 1.685 1.649
Li 1.685 0.201 6.454
Li 1.685 3.170 6.454
Li 3.170 1.685 1.649
Li 3.571 5.056 7.962
Li 5.056 3.571 3.157
Li 5.056 6.540 3.157
Li 6.540 5.056 7.962
Sm 1.685 5.056 2.403
Sm 5.056 1.685 7.208
Pb 0.141 1.685 4.447
Pb 1.685 0.141 9.252
Pb 1.685 3.230 9.252
Pb 3.230 1.685 4.447
Pb 3.511 5.056 5.164
Pb 5.056 3.511 0.359
Pb 5.056 6.600 0.359
Pb 6.600 5.056 5.164
```

Most intense lines, 10 to 90 degrees two-theta, in order of rising 2θ:
d (Å), 2θ/deg, I (rel.)
4.805, 18.46, 36
3.180, 28.06, 100
2.893, 30.90, 19
2.876, 31.09, 18
2.383, 37.75, 17
2.322, 38.78, 29
2.135, 42.34, 44
1.685, 54.45, 12
1.621, 56.81, 15
1.489, 62.36, 19

***

4.
This entry pairs a crystal structure of Li2Sm5Pb4 with its theoretical powder XRD pattern. Radiation: copper Kα. Structure: DFT lattice parameters and positions (PBE).

Structural model:
```
11
Lattice="10.715 -2.261 0.000 10.715 2.261 0.000 -2.686 0.000 7.154" Properties=species:S:1:pos:R:3 pbc="T T T"
Li 1.246 0.000 0.487
Li 17.497 0.000 6.666
Sm -1.343 0.000 3.577
Sm 7.000 0.000 0.701
Sm 5.722 0.000 4.127
Sm 13.022 0.000 3.026
Sm 11.744 0.000 6.453
Pb 3.905 0.000 1.501
Pb 10.160 0.000 1.471
Pb 8.584 0.000 5.683
Pb 14.839 0.000 5.653
```

Most intense lines, 10 to 90 degrees two-theta, in order of rising 2θ:
d (Å), 2θ/deg, I (rel.)
4.411, 20.13, 35
3.628, 24.54, 81
3.344, 26.66, 55
2.888, 30.97, 100
2.421, 37.14, 43
2.365, 38.05, 40
2.355, 38.21, 39
2.261, 39.88, 37
1.910, 47.61, 27
1.459, 63.78, 24

***

5.
This entry pairs a crystal structure of Li2SmPb9 with its theoretical powder XRD pattern. Radiation: copper Kα. Structure: DFT lattice parameters and positions (PBE).

Structural model:
```
12
Lattice="4.818 0.000 0.000 0.000 4.818 0.000 0.000 0.000 14.889" Properties=species:S:1:pos:R:3 pbc="T T T"
Li 0.000 0.000 2.483
Li 0.000 0.000 12.405
Sm 0.000 0.000 7.444
Pb 0.000 2.409 0.000
Pb 0.000 2.409 4.864
Pb 0.000 2.409 10.025
Pb 2.409 0.000 0.000
Pb 2.409 0.000 4.864
Pb 2.409 0.000 10.025
Pb 2.409 2.409 2.421
Pb 2.409 2.409 7.444
Pb 2.409 2.409 12.468
```

Most intense lines, 10 to 90 degrees two-theta, in order of rising 2θ:
d (Å), 2θ/deg, I (rel.)
4.818, 18.42, 9
2.809, 31.86, 100
2.481, 36.20, 18
2.409, 37.33, 33
1.728, 52.98, 24
1.703, 53.82, 12
1.488, 62.40, 14
1.456, 63.92, 28
1.404, 66.59, 12
1.121, 86.93, 12

***

6.
This entry pairs a crystal structure of Li6Sn3Pb2 with its theoretical powder XRD pattern. Radiation: copper Kα. Structure: DFT lattice parameters and positions (PBE).

Structural model:
```
11
Lattice="-2.019 2.019 15.453 2.019 -2.019 15.453 2.019 2.019 -15.453" Properties=species:S:1:pos:R:3 pbc="T T T"
Li 2.019 0.000 3.775
Li 0.000 0.000 6.786
Li 2.019 0.000 11.677
Li 0.000 2.019 3.775
Li 0.000 0.000 24.120
Li 0.000 2.019 11.677
Sn 0.000 0.000 9.678
Sn 0.000 0.000 15.453
Sn 0.000 0.000 21.227
Pb 0.000 0.000 1.579
Pb 0.000 0.000 29.326
```

Most intense lines, 10 to 90 degrees two-theta, in order of rising 2θ:
d (Å), 2θ/deg, I (rel.)
7.726, 11.45, 39
3.759, 23.67, 72
3.380, 26.37, 62
2.855, 31.33, 96
2.616, 34.28, 43
2.306, 39.06, 100
2.296, 39.24, 43
2.019, 44.90, 40
1.599, 57.65, 35
1.519, 60.99, 56

***

7.
This entry pairs a crystal structure of Li4SnPb2 with its theoretical powder XRD pattern. Radiation: copper Kα. Structure: DFT lattice parameters and positions (PBE).

Structural model:
```
14
Lattice="8.987 0.000 0.000 0.000 4.506 0.000 -4.400 0.000 7.794" Properties=species:S:1:pos:R:3 pbc="T T T"
Li -0.913 0.000 1.699
Li -1.670 2.253 6.828
Li 1.764 0.000 0.966
Li 1.007 2.253 6.095
Li 3.580 2.253 1.699
Li 2.823 0.000 6.828
Li 6.258 2.253 0.966
Li 5.501 0.000 6.095
Sn 0.000 2.253 0.000
Sn 4.494 0.000 0.000
Pb -0.764 0.000 4.687
Pb 0.858 2.253 3.107
Pb 3.729 2.253 4.687
Pb 5.352 0.000 3.107
```

Most intense lines, 10 to 90 degrees two-theta, in order of rising 2θ:
d (Å), 2θ/deg, I (rel.)
7.794, 11.35, 47
4.493, 19.76, 31
3.905, 22.77, 30
3.895, 22.83, 100
3.175, 28.10, 27
2.962, 30.18, 37
2.471, 36.36, 53
2.459, 36.54, 78
2.258, 39.93, 23
1.595, 57.82, 21

***

8.
This entry pairs a crystal structure of Li2Sn4Pb with its theoretical powder XRD pattern. Radiation: copper Kα. Structure: DFT lattice parameters and positions (PBE).

Structural model:
```
7
Lattice="0.000 4.947 5.622 3.148 0.000 5.622 3.148 4.947 0.000" Properties=species:S:1:pos:R:3 pbc="T T T"
Li 3.148 4.947 2.486
Li 3.148 4.947 8.758
Sn 3.148 1.632 5.622
Sn 1.574 2.474 2.811
Sn 4.722 7.421 8.433
Sn 3.148 8.262 5.622
Pb 3.148 4.947 5.622
```

Most intense lines, 10 to 90 degrees two-theta, in order of rising 2θ:
d (Å), 2θ/deg, I (rel.)
5.622, 15.76, 22
3.714, 23.96, 48
2.828, 31.64, 92
2.811, 31.83, 56
2.747, 32.60, 100
2.656, 33.75, 23
2.304, 39.09, 55
1.782, 51.27, 24
1.749, 52.31, 23
1.296, 72.99, 22